[1]
This entry pairs a crystal structure of ThCuNi2H8 with its calculated powder X-ray diffraction pattern. Radiation: a wavelength of 1.5418 Å. Structure: a cell relaxed with PBE.
Peak positions follow from Bragg's law for the DFT cell and can differ from measured ones.

Top 10 peaks for 2θ from 15° to 90°, by angle:
24.2°, d 3.680, I 100; 25.7°, d 3.469, I 87; 29.8°, d 3.001, I 77; 31.0°, d 2.886, I 74; 34.5°, d 2.601, I 54; 41.6°, d 2.170, I 96; 52.0°, d 1.759, I 98; 61.8°, d 1.501, I 21; 77.3°, d 1.234, I 34; 83.6°, d 1.156, I 24

abc: 6.505 6.505 6.505
angles: 38.98 38.98 38.98
Fractional coordinates of all 12 atoms:
Th: 0.000 0.000 0.000
Cu: 0.500 0.500 0.500
Ni: 0.175 0.175 0.175
Ni: 0.825 0.825 0.825
H: 0.084 0.827 0.431
H: 0.173 0.569 0.916
H: 0.343 0.343 0.343
H: 0.431 0.084 0.827
H: 0.569 0.916 0.173
H: 0.657 0.657 0.657
H: 0.827 0.431 0.084
H: 0.916 0.173 0.569

=====

[2]
This entry pairs a crystal structure of NpCuH6Pt with its calculated powder X-ray diffraction pattern. Radiation: a wavelength of 1.5418 Å. Structure: a cell relaxed with PBE.
Peak positions follow from Bragg's law for the DFT cell and can differ from measured ones.

Top 10 peaks for 2θ from 15° to 90°, by angle:
22.5°, d 3.953, I 15; 30.5°, d 2.929, I 100; 39.5°, d 2.283, I 43; 41.4°, d 2.180, I 12; 50.7°, d 1.800, I 25; 58.6°, d 1.576, I 28; 66.1°, d 1.414, I 23; 68.8°, d 1.364, I 10; 71.6°, d 1.318, I 8; 86.3°, d 1.128, I 10

abc: 4.565 4.565 4.360
angles: 90.00 90.00 120.00
Fractional coordinates of all 9 atoms:
Np: 0.000 0.000 0.000
Cu: 0.333 0.667 0.500
H: 0.003 0.501 0.224
H: 0.003 0.501 0.776
H: 0.499 0.501 0.224
H: 0.499 0.501 0.776
H: 0.499 0.997 0.224
H: 0.499 0.997 0.776
Pt: 0.667 0.333 0.500

=====

[3]
This entry pairs a crystal structure of NpCuH8Rh2 with its calculated powder X-ray diffraction pattern. Radiation: a wavelength of 1.5418 Å. Structure: a cell relaxed with PBE.
Peak positions follow from Bragg's law for the DFT cell and can differ from measured ones.

Top 10 peaks for 2θ from 15° to 90°, by angle:
22.6°, d 3.928, I 64; 31.1°, d 2.874, I 100; 35.3°, d 2.541, I 59; 38.5°, d 2.336, I 92; 50.3°, d 1.813, I 32; 51.6°, d 1.773, I 30; 53.3°, d 1.720, I 19; 61.2°, d 1.514, I 22; 65.1°, d 1.432, I 39; 67.6°, d 1.385, I 19

abc: 6.073 6.073 6.073
angles: 45.25 45.25 45.25
Fractional coordinates of all 12 atoms:
Np: 0.000 0.000 0.000
Cu: 0.500 0.500 0.500
H: 0.131 0.400 0.821
H: 0.179 0.869 0.600
H: 0.311 0.311 0.311
H: 0.400 0.821 0.131
H: 0.600 0.179 0.869
H: 0.689 0.689 0.689
H: 0.821 0.131 0.400
H: 0.869 0.600 0.179
Rh: 0.207 0.207 0.207
Rh: 0.793 0.793 0.793